[1]
For ZnS, DFT lattice parameters and positions (PBE) gives the calculated X-ray diffraction stick pattern in this record (CuKα).

Largest 10 diffraction maxima, in order of falling intensity, 2θ = 10–90°:
d [Å]	Rel. int.	hkl
1.927	100	1 1 0
3.150	82	0 0 26
1.644	76	1 1 26
3.173	67	0 1 8
3.134	63	1 0 9
1.916	27	1 0 35
1.953	26	0 1 34
3.271	20	1 0 5
2.998	19	1 0 12
1.113	16	3 0 0

Atomic structure:
Cell: 3.8541 3.8541 81.9026 Å, 90.00 90.00 120.00°
Space group P3m1 (No. 156)
One atom of each set of equivalent atoms:
Zn1 0.0000 0.0000 0.0000 x1
Zn2 0.0000 0.0000 0.0770 x1
Zn3 0.0000 0.0000 0.1923 x1
Zn4 0.0000 0.0000 0.2693 x1
Zn5 0.0000 0.0000 0.4231 x1
Zn6 0.0000 0.0000 0.5385 x1
Zn7 0.0000 0.0000 0.6539 x1
Zn8 0.0000 0.0000 0.7692 x1
Zn9 0.0000 0.0000 0.8846 x1
Zn10 0.3333 0.6667 0.0385 x1
Zn11 0.3333 0.6667 0.1539 x1
Zn12 0.3333 0.6667 0.3077 x1
Zn13 0.3333 0.6667 0.3847 x1
Zn14 0.3333 0.6667 0.5000 x1
Zn15 0.3333 0.6667 0.5770 x1
Zn16 0.3333 0.6667 0.7308 x1
Zn17 0.3333 0.6667 0.8077 x1
Zn18 0.3333 0.6667 0.9231 x1
Zn19 0.6667 0.3333 0.1154 x1
Zn20 0.6667 0.3333 0.2308 x1
Zn21 0.6667 0.3333 0.3462 x1
Zn22 0.6667 0.3333 0.4616 x1
Zn23 0.6667 0.3333 0.6154 x1
Zn24 0.6667 0.3333 0.6924 x1
Zn25 0.6667 0.3333 0.8462 x1
Zn26 0.6667 0.3333 0.9616 x1
S1 0.0000 0.0000 0.0288 x1
S2 0.0000 0.0000 0.1058 x1
S3 0.0000 0.0000 0.2211 x1
S4 0.0000 0.0000 0.2981 x1
S5 0.0000 0.0000 0.4519 x1
S6 0.0000 0.0000 0.5674 x1
S7 0.0000 0.0000 0.6827 x1
S8 0.0000 0.0000 0.7981 x1
S9 0.0000 0.0000 0.9135 x1
S10 0.3333 0.6667 0.0674 x1
S11 0.3333 0.6667 0.1827 x1
S12 0.3333 0.6667 0.3365 x1
S13 0.3333 0.6667 0.4135 x1
S14 0.3333 0.6667 0.5288 x1
S15 0.3333 0.6667 0.6058 x1
S16 0.3333 0.6667 0.7596 x1
S17 0.3333 0.6667 0.8366 x1
S18 0.3333 0.6667 0.9519 x1
S19 0.6667 0.3333 0.1442 x1
S20 0.6667 0.3333 0.2597 x1
S21 0.6667 0.3333 0.3750 x1
S22 0.6667 0.3333 0.4904 x1
S23 0.6667 0.3333 0.6442 x1
S24 0.6667 0.3333 0.7212 x1
S25 0.6667 0.3333 0.8750 x1
S26 0.6667 0.3333 0.9904 x1

[2]
For ZnS, DFT lattice parameters and positions (PBE) gives the calculated X-ray diffraction stick pattern in this record (CuKα).

Largest 10 diffraction maxima, in order of falling intensity, 2θ = 10–90°:
d [Å]	Rel. int.	hkl
1.927	100	1 1 0
3.149	82	0 0 20
3.181	82	0 1 6
1.644	67	1 1 20
3.129	59	1 0 7
3.073	35	0 1 8
1.961	30	0 1 26
1.912	25	1 0 27
3.265	19	1 0 4
3.012	18	1 0 9

Atomic structure:
Cell: 3.8537 3.8537 62.9873 Å, 90.00 90.00 120.00°
Space group P3m1 (No. 156)
One atom of each set of equivalent atoms:
Zn1 0.0000 0.0000 0.0000 x1
Zn2 0.0000 0.0000 0.1000 x1
Zn3 0.0000 0.0000 0.2500 x1
Zn4 0.0000 0.0000 0.3500 x1
Zn5 0.0000 0.0000 0.5000 x1
Zn6 0.0000 0.0000 0.6500 x1
Zn7 0.0000 0.0000 0.8000 x1
Zn8 0.3333 0.6667 0.0500 x1
Zn9 0.3333 0.6667 0.2000 x1
Zn10 0.3333 0.6667 0.4000 x1
Zn11 0.3333 0.6667 0.5500 x1
Zn12 0.3333 0.6667 0.7500 x1
Zn13 0.3333 0.6667 0.9000 x1
Zn14 0.6667 0.3333 0.1500 x1
Zn15 0.6667 0.3333 0.3000 x1
Zn16 0.6667 0.3333 0.4500 x1
Zn17 0.6667 0.3333 0.6000 x1
Zn18 0.6667 0.3333 0.7000 x1
Zn19 0.6667 0.3333 0.8500 x1
Zn20 0.6667 0.3333 0.9500 x1
S1 0.0000 0.0000 0.0375 x1
S2 0.0000 0.0000 0.1375 x1
S3 0.0000 0.0000 0.2875 x1
S4 0.0000 0.0000 0.3875 x1
S5 0.0000 0.0000 0.5375 x1
S6 0.0000 0.0000 0.6875 x1
S7 0.0000 0.0000 0.8375 x1
S8 0.3333 0.6667 0.0875 x1
S9 0.3333 0.6667 0.2375 x1
S10 0.3333 0.6667 0.4375 x1
S11 0.3333 0.6667 0.5875 x1
S12 0.3333 0.6667 0.7875 x1
S13 0.3333 0.6667 0.9375 x1
S14 0.6667 0.3333 0.1875 x1
S15 0.6667 0.3333 0.3375 x1
S16 0.6667 0.3333 0.4875 x1
S17 0.6667 0.3333 0.6375 x1
S18 0.6667 0.3333 0.7375 x1
S19 0.6667 0.3333 0.8875 x1
S20 0.6667 0.3333 0.9875 x1

[3]
For ZnS, DFT lattice parameters and positions (PBE) gives the calculated X-ray diffraction stick pattern in this record (CuKα).

Largest 10 diffraction maxima, in order of falling intensity, 2θ = 10–90°:
d [Å]	Rel. int.	hkl
1.926	100	1 1 0
3.149	82	0 0 26
1.643	73	1 1 26
3.172	72	0 1 8
3.132	47	1 0 9
3.089	31	0 1 10
1.953	27	0 1 34
3.269	24	1 0 5
1.915	20	1 0 35
2.997	17	1 0 12

Atomic structure:
Cell: 3.8520 3.8520 81.8839 Å, 90.00 90.00 120.00°
Space group P3m1 (No. 156)
One atom of each set of equivalent atoms:
Zn1 0.0000 0.0000 0.0000 x1
Zn2 0.0000 0.0000 0.0769 x1
Zn3 0.0000 0.0000 0.1923 x1
Zn4 0.0000 0.0000 0.2692 x1
Zn5 0.0000 0.0000 0.3846 x1
Zn6 0.0000 0.0000 0.5000 x1
Zn7 0.0000 0.0000 0.6154 x1
Zn8 0.0000 0.0000 0.7692 x1
Zn9 0.0000 0.0000 0.8462 x1
Zn10 0.3333 0.6667 0.0385 x1
Zn11 0.3333 0.6667 0.1539 x1
Zn12 0.3333 0.6667 0.3077 x1
Zn13 0.3333 0.6667 0.4231 x1
Zn14 0.3333 0.6667 0.5769 x1
Zn15 0.3333 0.6667 0.6923 x1
Zn16 0.3333 0.6667 0.8077 x1
Zn17 0.3333 0.6667 0.9231 x1
Zn18 0.6667 0.3333 0.1154 x1
Zn19 0.6667 0.3333 0.2308 x1
Zn20 0.6667 0.3333 0.3462 x1
Zn21 0.6667 0.3333 0.4615 x1
Zn22 0.6667 0.3333 0.5385 x1
Zn23 0.6667 0.3333 0.6538 x1
Zn24 0.6667 0.3333 0.7308 x1
Zn25 0.6667 0.3333 0.8846 x1
Zn26 0.6667 0.3333 0.9616 x1
S1 0.0000 0.0000 0.0288 x1
S2 0.0000 0.0000 0.1058 x1
S3 0.0000 0.0000 0.2211 x1
S4 0.0000 0.0000 0.2981 x1
S5 0.0000 0.0000 0.4134 x1
S6 0.0000 0.0000 0.5289 x1
S7 0.0000 0.0000 0.6442 x1
S8 0.0000 0.0000 0.7980 x1
S9 0.0000 0.0000 0.8750 x1
S10 0.3333 0.6667 0.0673 x1
S11 0.3333 0.6667 0.1827 x1
S12 0.3333 0.6667 0.3365 x1
S13 0.3333 0.6667 0.4519 x1
S14 0.3333 0.6667 0.6058 x1
S15 0.3333 0.6667 0.7212 x1
S16 0.3333 0.6667 0.8365 x1
S17 0.3333 0.6667 0.9519 x1
S18 0.6667 0.3333 0.1442 x1
S19 0.6667 0.3333 0.2596 x1
S20 0.6667 0.3333 0.3750 x1
S21 0.6667 0.3333 0.4903 x1
S22 0.6667 0.3333 0.5673 x1
S23 0.6667 0.3333 0.6827 x1
S24 0.6667 0.3333 0.7596 x1
S25 0.6667 0.3333 0.9134 x1
S26 0.6667 0.3333 0.9904 x1